Record 1
Computed powder diffractogram
Compound: YMn17Ir
Radiation: Cu Kα (λ = 1.5418 Å)
Structure: DFT lattice parameters and positions (PBE)
No peak broadening, texture or thermal motion is included.

Atomic structure:
a b c (Å): 8.1438 8.1438 12.0624
angles (deg): 90.00 90.00 120.00
Space group R3m (No. 160, hexagonal axes)
Unique sites:
Y 0.0000 0.0000 0.0000 (multiplicity 3)
Mn 0.0000 0.0000 0.2525 (multiplicity 3)
Mn 0.0000 0.0000 0.4432 (multiplicity 3)
Mn 0.0139 0.3032 0.3479 (multiplicity 18)
Mn 0.0141 0.5071 0.8384 (multiplicity 9)
Mn 0.0195 0.5097 0.4980 (multiplicity 9)
Mn 0.0319 0.5159 0.2060 (multiplicity 9)
Ir 0.0000 0.0000 0.6861 (multiplicity 3)

Largest 12 diffraction maxima, by intensity, 2θ = 15–90°:
2θ (°)	intensity
44.65	100.0
44.50	54.1
38.29	42.0
31.26	32.8
39.31	31.4
45.10	25.9
45.56	20.0
45.41	19.3
82.92	14.2
50.23	14.2
81.97	13.4
64.87	12.9



Record 2
Computed powder diffractogram
Compound: Zr2MnIr
Radiation: Cu Kα (λ = 1.5418 Å)
Structure: DFT lattice parameters and positions (PBE)
No peak broadening, texture or thermal motion is included.

Atomic structure:
a b c (Å): 3.193 4.453 5.307
angles (deg): 90.00 103.61 90.00
Space group Pm (No. 6)
Unique sites:
Zr 0.000 0.000 0.000 (multiplicity 1)
Zr 0.244 0.500 0.581 (multiplicity 1)
Mn 0.685 0.000 0.460 (multiplicity 1)
Ir 0.560 0.500 0.127 (multiplicity 1)

Largest 12 diffraction maxima, by intensity, 2θ = 15–90°:
2θ (°)	intensity
40.47	100.0
36.21	77.4
42.53	53.1
35.25	50.3
17.19	40.8
34.79	37.5
44.95	33.2
19.94	27.2
54.44	20.6
37.16	18.3
57.90	15.7
73.04	15.5



Record 3
Computed powder diffractogram
Compound: MoIr3
Radiation: Cu Kα (λ = 1.5418 Å)
Structure: DFT lattice parameters and positions (PBE)
No peak broadening, texture or thermal motion is included.

Atomic structure:
a b c (Å): 5.493 7.793 2.757
angles (deg): 90.00 90.00 90.00
Space group Cmmm (No. 65)
Unique sites:
Mo 0.000 0.000 0.000 (multiplicity 2)
Ir 0.000 0.500 0.000 (multiplicity 2)
Ir 0.250 0.250 0.500 (multiplicity 4)

Largest 12 diffraction maxima, by intensity, 2θ = 15–90°:
2θ (°)	intensity
40.06	100.0
40.17	99.3
46.66	97.3
82.03	51.5
68.10	42.3
82.23	25.6
86.48	11.5
86.75	11.4
68.00	10.6
19.77	10.6
68.30	10.5
38.31	6.4



Record 4
Computed powder diffractogram
Compound: MoIr2
Radiation: Cu Kα (λ = 1.5418 Å)
Structure: DFT lattice parameters and positions (PBE)
No peak broadening, texture or thermal motion is included.

Atomic structure:
a b c (Å): 10.095 2.769 6.575
angles (deg): 90.00 104.26 90.00
Space group Cm (No. 8)
Unique sites:
Mo 0.000 0.000 0.000 (multiplicity 2)
Mo 0.174 0.500 0.341 (multiplicity 2)
Ir 0.115 0.500 0.727 (multiplicity 2)
Ir 0.278 0.000 0.063 (multiplicity 2)
Ir 0.337 0.000 0.670 (multiplicity 2)
Ir 0.453 0.500 0.390 (multiplicity 2)

Largest 12 diffraction maxima, by intensity, 2θ = 15–90°:
2θ (°)	intensity
42.75	100.0
42.84	67.1
40.59	50.5
37.45	35.0
42.56	33.5
67.34	22.9
75.46	18.8
37.28	18.2
56.37	16.2
81.50	13.6
81.99	13.4
81.86	13.4